Computed PXRD pattern of RbTaTe2I for λ = 1.5418 Å (Cu Kα), from the GGA-PBE geometry in Alexandria.
Lines closer than 0.1° are merged.

Principal peaks in the range 10° ≤ 2θ ≤ 80°, sorted by position:
h k l, 2θ/deg, I_rel
0 0 1, 14.67, 38
1 0 0, 16.22, 64
1 0 1, 21.94, 26
1 1 1, 27.40, 63
0 0 2, 29.58, 66
2 0 0, 32.78, 100
1 0 2, 33.92, 21
2 0 1, 36.09, 17
2 0 2, 44.73, 84
2 2 0, 47.05, 36
2 2 2, 56.56, 42
2 0 4, 71.37, 21

Atomic structure:
Lattice parameters (Å, degrees): 5.463 5.463 6.040 90.00 90.00 90.00
Space group P4/mmm (No. 123)
Symmetry-distinct sites (fractional):
Rb: 0.000 0.000 0.000 (multiplicity 1)
Ta: 0.500 0.500 0.500 (multiplicity 1)
Te: 0.000 0.500 0.500 (multiplicity 2)
I: 0.500 0.500 0.000 (multiplicity 1)